1.
Diffraction record for CsBa2VCl8. The XRD peak list is computed, not measured: it uses a PBE-relaxed structure and a wavelength of 1.5418 Å.

The 6 most intense peaks (15 to 90 degrees two-theta), in order of rising 2θ:
hkl 1 1 0, 2θ = 18.35°, intensity 78; hkl 2 0 0, 2θ = 26.66°, intensity 69; hkl 0 1 -2, 2θ = 28.51°, intensity 74; hkl 1 2 2, 2θ = 29.90°, intensity 93; hkl -2 1 2, 2θ = 33.83°, intensity 100; hkl 2 2 0, 2θ = 37.19°, intensity 64

Cell and atoms:
```
data_CsBa2VCl8
_chemical_formula_sum 'Cs1 Ba2 V1 Cl8'
_cell_length_a 6.688
_cell_length_b 7.501
_cell_length_c 8.971
_cell_angle_alpha 68.93
_cell_angle_beta 89.97
_cell_angle_gamma 89.86
_symmetry_space_group_name_H-M 'P -1'
_symmetry_Int_Tables_number 2
loop_
_symmetry_equiv_pos_as_xyz
'x,y,z'
'-x,-y,-z'
loop_
_atom_site_label
_atom_site_type_symbol
_atom_site_fract_x
_atom_site_fract_y
_atom_site_fract_z
Cs1 Cs 0.000 0.000 0.000
Ba1 Ba 0.500 0.452 0.269
V1 V 0.000 0.500 0.500
Cl1 Cl 0.000 0.459 0.244
Cl2 Cl 0.249 0.740 0.403
Cl3 Cl 0.250 0.260 0.597
Cl4 Cl 0.499 0.775 0.948
```

***

2.
Diffraction record for BaCu2Cl. The XRD peak list is computed, not measured: it uses a PBE-relaxed structure and a wavelength of 1.5418 Å.

The 6 most intense peaks (15 to 90 degrees two-theta), in order of rising 2θ:
hkl 1 1 -1, 2θ = 26.99°, intensity 100; hkl 1 1 2, 2θ = 35.62°, intensity 59; hkl 0 0 3, 2θ = 40.06°, intensity 14; hkl 3 1 0, 2θ = 41.25°, intensity 32; hkl 0 2 0, 2θ = 41.35°, intensity 16; hkl 3 1 -3, 2θ = 58.86°, intensity 18

Cell and atoms:
```
data_BaCu2Cl
_chemical_formula_sum 'Ba2 Cu4 Cl2'
_cell_length_a 7.587
_cell_length_b 4.367
_cell_length_c 6.752
_cell_angle_alpha 90.00
_cell_angle_beta 90.09
_cell_angle_gamma 90.00
_symmetry_space_group_name_H-M 'C 1 m 1'
_symmetry_Int_Tables_number 8
loop_
_symmetry_equiv_pos_as_xyz
'x,y,z'
'x,-y,z'
'x+1/2,y+1/2,z'
'x+1/2,-y+1/2,z'
loop_
_atom_site_label
_atom_site_type_symbol
_atom_site_fract_x
_atom_site_fract_y
_atom_site_fract_z
Ba1 Ba 0.000 0.000 0.000
Cu1 Cu 0.166 0.500 0.339
Cu2 Cu 0.333 0.000 0.315
Cl1 Cl 0.167 0.500 0.732
```

***

3.
Diffraction record for Ba2Cu3Cl10. The XRD peak list is computed, not measured: it uses a PBE-relaxed structure and a wavelength of 1.5418 Å.

The 6 most intense peaks (15 to 90 degrees two-theta), in order of rising 2θ:
hkl 3 1 1, 2θ = 22.28°, intensity 73; hkl 6 0 -1, 2θ = 22.98°, intensity 71; hkl 0 2 2, 2θ = 32.92°, intensity 81; hkl 2 0 3, 2θ = 33.58°, intensity 60; hkl 6 2 -1, 2θ = 35.01°, intensity 100; hkl 8 2 2, 2θ = 52.00°, intensity 56

Cell and atoms:
```
data_Ba2Cu3Cl10
_chemical_formula_sum 'Ba8 Cu12 Cl40'
_cell_length_a 23.284
_cell_length_b 6.839
_cell_length_c 9.551
_cell_angle_alpha 90.00
_cell_angle_beta 109.79
_cell_angle_gamma 90.00
_symmetry_space_group_name_H-M 'C 1 2/m 1'
_symmetry_Int_Tables_number 12
loop_
_symmetry_equiv_pos_as_xyz
'x,y,z'
'-x,-y,-z'
'-x,y,-z'
'x,-y,z'
'x+1/2,y+1/2,z'
'-x+1/2,-y+1/2,-z'
'-x+1/2,y+1/2,-z'
'x+1/2,-y+1/2,z'
loop_
_atom_site_label
_atom_site_type_symbol
_atom_site_fract_x
_atom_site_fract_y
_atom_site_fract_z
Ba1 Ba 0.120 0.000 0.247
Ba2 Ba 0.231 0.000 0.808
Cu1 Cu 0.000 0.247 0.500
Cu2 Cu 0.071 0.500 0.960
Cu3 Cu 0.181 0.500 0.534
Cl1 Cl 0.000 0.269 0.000
Cl2 Cl 0.009 0.000 0.675
Cl3 Cl 0.013 0.500 0.672
Cl4 Cl 0.122 0.237 0.559
Cl5 Cl 0.136 0.500 0.267
Cl6 Cl 0.142 0.254 0.971
Cl7 Cl 0.244 0.500 0.799
Cl8 Cl 0.250 0.250 0.500
```